For BiW4O12, a DFT-relaxed cell (PBE+U, Alexandria) gives the simulated powder diffraction line list in this record (Cu Kα (λ = 1.5418 Å)).
Intensities are scaled so that the largest is 100.

Largest 10 diffraction maxima, sorted by position, 2θ = 10–90°:
2θ (°), Rel. int.
15.86, 17.5
16.18, 31.9
22.50, 57.5
23.40, 24.5
27.84, 16.1
32.04, 50.2
32.69, 100.0
45.94, 30.7
57.52, 44.1
58.76, 22.3

```
BiW4O12
1.0
-3.9509 3.9509 3.8014
3.9509 -3.9509 3.8014
3.9509 3.9509 -3.8014
Bi W O
1 4 12
direct
0.0000 0.0000 0.0000
0.0000 0.0000 0.5000
0.0000 0.5000 0.0000
0.5000 0.0000 0.0000
0.5000 0.5000 0.5000
0.0411 0.7988 0.2423
0.2012 0.4435 0.2423
0.2012 0.9589 0.7577
0.2877 0.2877 0.5754
0.2877 0.7123 0.0000
0.4435 0.2012 0.2423
0.5565 0.7988 0.7577
0.7123 0.2877 0.0000
0.7123 0.7123 0.4246
0.7988 0.0411 0.2423
0.7988 0.5565 0.7577
0.9589 0.2012 0.7577
```